Record 1
Structure and theoretical X-ray powder pattern of DyAgP2Pt7 (a crystal structure in Alexandria, relaxed with GGA-PBE; Cu Kα X-rays).

```
DyAgP2Pt7
1.0
-2.003 2.003 14.628
2.003 -2.003 14.628
2.003 2.003 -14.628
Dy Ag P Pt
1 1 2 7
direct
0.000 0.000 0.000
0.750 0.250 0.500
0.381 0.381 0.000
0.619 0.619 0.000
0.075 0.575 0.500
0.308 0.308 0.000
0.425 0.925 0.500
0.500 0.500 0.000
0.575 0.075 0.500
0.692 0.692 0.000
0.925 0.425 0.500
```

Top 10 peaks for 2θ = 5–70°, by intensity:
2θ (°)	d [Å]	I/Imax
6.04	14.628	1000
36.70	2.449	789
45.28	2.003	313
24.02	3.705	162
44.53	2.035	160
26.98	3.305	119
65.97	1.416	103
33.94	2.641	102
40.28	2.239	93
22.41	3.968	84

Record 2
Structure and theoretical X-ray powder pattern of DyAgPb3 (a crystal structure in Alexandria, relaxed with GGA-PBE; Cu Kα X-rays).

```
DyAgPb3
1.0
3.803 0.000 0.000
1.900 5.899 0.000
1.886 0.357 6.078
Dy Ag Pb
1 1 3
direct
0.000 0.000 0.000
0.787 0.636 0.785
0.210 0.442 0.135
0.369 0.825 0.434
0.582 0.250 0.590
```

Top 10 peaks for 2θ = 5–70°, by intensity:
2θ (°)	d [Å]	I/Imax
33.94	2.641	1000
32.88	2.724	740
33.02	2.713	381
59.36	1.557	184
47.84	1.901	144
60.22	1.537	129
58.21	1.585	126
46.54	1.951	107
49.64	1.837	104
61.44	1.509	81

Repeat the second record exactly.
Structure and theoretical X-ray powder pattern of DyAgPb3 (a crystal structure in Alexandria, relaxed with GGA-PBE; Cu Kα X-rays).

```
DyAgPb3
1.0
3.803 0.000 0.000
1.900 5.899 0.000
1.886 0.357 6.078
Dy Ag Pb
1 1 3
direct
0.000 0.000 0.000
0.787 0.636 0.785
0.210 0.442 0.135
0.369 0.825 0.434
0.582 0.250 0.590
```

Top 10 peaks for 2θ = 5–70°, by intensity:
2θ (°)	d [Å]	I/Imax
33.94	2.641	1000
32.88	2.724	740
33.02	2.713	381
59.36	1.557	184
47.84	1.901	144
60.22	1.537	129
58.21	1.585	126
46.54	1.951	107
49.64	1.837	104
61.44	1.509	81